[1]
Computed XRD peak list of RbH4Cl for Cu Kα (λ = 1.5418 Å), from a structure optimized by DFT (GGA-PBE).
Lines closer than 0.1° are merged.

Structural model:
Cell lengths 5.420, 6.198, 6.476 Å; angles 88.92, 88.78, 82.03 degrees
Space group P-1 (No. 2)
Inequivalent atoms, fractional coordinates:
Rb 0.228 0.156 0.251 [2 per cell]
H 0.190 0.635 0.412 [2 per cell]
H 0.271 0.643 0.941 [2 per cell]
H 0.274 0.534 0.889 [2 per cell]
H 0.279 0.571 0.486 [2 per cell]
Cl 0.228 0.130 0.753 [2 per cell]

Peak list (8 most intense, 2θ = 10–80°, in order of rising 2θ)
d [Å], two_theta, intensity, h k l
6.137, 14.43, 100, 0 1 0
4.349, 20.42, 69, 1 1 0
3.789, 23.48, 77, 1 -1 0
3.237, 27.56, 66, 0 0 2
2.840, 31.50, 70, 1 2 0
2.683, 33.39, 42, 2 0 0
2.518, 35.65, 30, 1 -2 0
2.047, 44.25, 49, 2 0 -2

[2]
Computed XRD peak list of LiIn12 for Cu Kα (λ = 1.5418 Å), from a structure optimized by DFT (GGA-PBE).
Lines closer than 0.1° are merged.

Structural model:
Cell lengths 8.789, 8.789, 8.789 Å; angles 90.00, 90.00, 90.00 degrees
Space group Im-3 (No. 204)
Inequivalent atoms, fractional coordinates:
Li 0.000 0.000 0.000 [2 per cell]
In 0.000 0.185 0.310 [24 per cell]

Peak list (8 most intense, 2θ = 10–80°, in order of rising 2θ)
d [Å], two_theta, intensity, h k l
3.107, 28.73, 30, 2 2 0
2.779, 32.21, 100, 3 1 0
2.537, 35.38, 32, 2 2 2
2.349, 38.32, 69, 3 2 1
1.507, 61.52, 42, 5 0 3
1.465, 63.51, 11, 6 0 0
1.426, 65.46, 32, 5 3 2
1.243, 76.67, 11, 7 1 0

[3]
Computed XRD peak list of Zn3GaPt6 for Cu Kα (λ = 1.5418 Å), from a structure optimized by DFT (GGA-PBE).
Lines closer than 0.1° are merged.

Structural model:
Cell lengths 8.473, 4.012, 8.871 Å; angles 90.00, 94.87, 90.00 degrees
Space group P2_1/m (No. 11)
Inequivalent atoms, fractional coordinates:
Zn 0.055 0.250 0.397 [2 per cell]
Zn 0.156 0.750 0.198 [2 per cell]
Zn 0.252 0.250 0.994 [2 per cell]
Ga 0.431 0.250 0.615 [2 per cell]
Pt 0.039 0.750 0.899 [2 per cell]
Pt 0.131 0.250 0.695 [2 per cell]
Pt 0.241 0.750 0.498 [2 per cell]
Pt 0.342 0.750 0.803 [2 per cell]
Pt 0.361 0.250 0.316 [2 per cell]
Pt 0.441 0.750 0.103 [2 per cell]

Peak list (8 most intense, 2θ = 10–80°, in order of rising 2θ)
d [Å], two_theta, intensity, h k l
3.690, 24.12, 19, 2 0 1
2.854, 31.35, 22, 1 1 -2
2.268, 39.74, 100, 3 1 -1
2.246, 40.14, 99, 1 1 3
2.030, 44.64, 36, 2 0 -4
2.006, 45.21, 36, 0 2 0
1.845, 49.40, 25, 4 0 2
1.427, 65.42, 23, 2 2 -4

[4]
Computed XRD peak list of La12TbHo5 for Cu Kα (λ = 1.5418 Å), from a structure optimized by DFT (GGA-PBE).
Lines closer than 0.1° are merged.

Structural model:
Cell lengths 11.554, 18.182, 6.050 Å; angles 90.00, 90.00, 90.00 degrees
Space group Cmmm (No. 65)
Inequivalent atoms, fractional coordinates:
La 0.156 0.000 0.000 [4 per cell]
La 0.156 0.168 0.500 [8 per cell]
La 0.156 0.333 0.000 [8 per cell]
La 0.157 0.500 0.500 [4 per cell]
Tb 0.000 0.000 0.500 [2 per cell]
Ho 0.000 0.166 0.000 [4 per cell]
Ho 0.000 0.334 0.500 [4 per cell]
Ho 0.000 0.500 0.000 [2 per cell]

Peak list (8 most intense, 2θ = 10–80°, in order of rising 2θ)
d [Å], two_theta, intensity, h k l
3.028, 29.50, 59, 0 6 0
2.863, 31.24, 100, 3 3 1
2.141, 42.21, 22, 0 6 2
1.715, 53.44, 44, 3 9 1
1.625, 56.65, 17, 6 6 0
1.432, 65.16, 11, 6 6 2
1.354, 69.41, 10, 0 12 2
1.338, 70.35, 10, 3 9 3

[5]
Computed XRD peak list of ZnFe for Cu Kα (λ = 1.5418 Å), from a structure optimized by DFT (GGA-PBE).
Lines closer than 0.1° are merged.

Structural model:
Cell lengths 7.493, 7.493, 3.903 Å; angles 90.00, 90.00, 90.00 degrees
Space group I4/mmm (No. 139)
Inequivalent atoms, fractional coordinates:
Zn 0.000 0.304 0.000 [8 per cell]
Fe 0.164 0.164 0.500 [8 per cell]

Peak list (8 most intense, 2θ = 10–80°, in order of rising 2θ)
d [Å], two_theta, intensity, h k l
3.746, 23.75, 7, 2 0 0
2.649, 33.84, 12, 2 2 0
2.543, 35.30, 15, 2 1 1
2.104, 42.99, 100, 3 0 1
1.952, 46.53, 21, 0 0 2
1.766, 51.76, 26, 3 3 0
1.310, 72.11, 24, 3 3 2
1.249, 76.24, 6, 6 0 0

[6]
Computed XRD peak list of YPuTeAs for Cu Kα (λ = 1.5418 Å), from a structure optimized by DFT (GGA-PBE).
Lines closer than 0.1° are merged.

Structural model:
Cell lengths 4.2474, 4.2474, 21.2184 Å; angles 90.00, 90.00, 120.00 degrees
Space group R3m (No. 160, hexagonal axes)
Inequivalent atoms, fractional coordinates:
Y 0.0000 0.0000 0.0000 [3 per cell]
Pu 0.0000 0.0000 0.4827 [3 per cell]
Te 0.0000 0.0000 0.2421 [3 per cell]
As 0.0000 0.0000 0.7401 [3 per cell]

Peak list (8 most intense, 2θ = 10–80°, in order of rising 2θ)
d [Å], two_theta, intensity, h k l
7.073, 12.52, 16, 0 0 3
3.624, 24.56, 14, 1 0 1
3.023, 29.55, 100, 1 0 4
2.151, 42.00, 36, 0 1 8
2.124, 42.57, 38, 1 1 0
1.738, 52.67, 20, 0 2 4
1.359, 69.13, 14, 1 1 12
1.345, 69.95, 17, 2 1 4

[7]
Computed XRD peak list of Li2LaTi3O8 for Cu Kα (λ = 1.5418 Å), from a structure optimized by DFT (GGA-PBE).
Lines closer than 0.1° are merged.

Structural model:
Cell lengths 6.0855, 6.0855, 16.2291 Å; angles 90.00, 90.00, 120.00 degrees
Space group R3m (No. 160, hexagonal axes)
Inequivalent atoms, fractional coordinates:
Li 0.0000 0.0000 0.0000 [3 per cell]
Li 0.0000 0.0000 0.4081 [3 per cell]
La 0.0000 0.0000 0.7750 [3 per cell]
Ti 0.0098 0.5049 0.9054 [9 per cell]
O 0.0000 0.0000 0.1710 [3 per cell]
O 0.0000 0.0000 0.6338 [3 per cell]
O 0.0439 0.5219 0.1689 [9 per cell]
O 0.1801 0.3602 0.9712 [9 per cell]

Peak list (8 most intense, 2θ = 10–80°, in order of rising 2θ)
d [Å], two_theta, intensity, h k l
5.410, 16.39, 36, 0 0 3
5.013, 17.69, 59, 1 0 1
4.420, 20.09, 100, 0 1 2
3.215, 27.75, 82, 1 0 4
2.764, 32.39, 40, 0 1 5
2.652, 33.80, 83, 1 1 3
2.601, 34.48, 73, 0 2 1
1.741, 52.58, 38, 0 2 7

[8]
Computed XRD peak list of Nd4DyEr2Mg for Cu Kα (λ = 1.5418 Å), from a structure optimized by DFT (GGA-PBE).
Lines closer than 0.1° are merged.

Structural model:
Cell lengths 5.762, 5.762, 7.761 Å; angles 90.00, 90.00, 90.00 degrees
Space group P4/mmm (No. 123)
Inequivalent atoms, fractional coordinates:
Nd 0.000 0.500 0.240 [4 per cell]
Dy 0.000 0.000 0.500 [1 per cell]
Er 0.000 0.000 0.000 [1 per cell]
Er 0.500 0.500 0.500 [1 per cell]
Mg 0.500 0.500 0.000 [1 per cell]

Peak list (8 most intense, 2θ = 10–80°, in order of rising 2θ)
d [Å], two_theta, intensity, h k l
2.881, 31.04, 54, 2 0 0
2.810, 31.85, 100, 1 1 2
2.037, 44.48, 20, 2 2 0
1.649, 55.74, 41, 3 1 2
1.609, 57.25, 18, 2 0 4
1.405, 66.56, 12, 2 2 4
1.288, 73.51, 9, 4 2 0
1.282, 73.95, 9, 3 3 2

[9]
Computed XRD peak list of TlB2IrSe for Cu Kα (λ = 1.5418 Å), from a structure optimized by DFT (GGA-PBE).
Lines closer than 0.1° are merged.

Structural model:
Cell lengths 4.229, 4.229, 5.626 Å; angles 90.00, 90.00, 90.00 degrees
Space group P4/mmm (No. 123)
Inequivalent atoms, fractional coordinates:
Tl 0.000 0.000 0.000 [1 per cell]
B 0.000 0.500 0.000 [2 per cell]
Ir 0.500 0.500 0.500 [1 per cell]
Se 0.000 0.000 0.500 [1 per cell]

Peak list (8 most intense, 2θ = 10–80°, in order of rising 2θ)
d [Å], two_theta, intensity, h k l
3.380, 26.37, 100, 1 0 1
2.990, 29.88, 79, 1 1 0
2.813, 31.81, 39, 0 0 2
2.114, 42.77, 34, 2 0 0
2.049, 44.21, 55, 1 1 2
1.793, 50.94, 35, 2 1 1
1.690, 54.27, 34, 2 0 2
1.208, 79.33, 21, 3 1 2

[10]
Computed XRD peak list of Ho12AlIn3 for Cu Kα (λ = 1.5418 Å), from a structure optimized by DFT (GGA-PBE).
Lines closer than 0.1° are merged.

Structural model:
Cell lengths 4.797, 4.797, 19.225 Å; angles 90.00, 90.00, 90.00 degrees
Space group P4/mmm (No. 123)
Inequivalent atoms, fractional coordinates:
Ho 0.000 0.000 0.000 [1 per cell]
Ho 0.000 0.000 0.248 [2 per cell]
Ho 0.000 0.000 0.500 [1 per cell]
Ho 0.000 0.500 0.121 [4 per cell]
Ho 0.000 0.500 0.374 [4 per cell]
Al 0.500 0.500 0.000 [1 per cell]
In 0.500 0.500 0.248 [2 per cell]
In 0.500 0.500 0.500 [1 per cell]

Peak list (8 most intense, 2θ = 10–80°, in order of rising 2θ)
d [Å], two_theta, intensity, h k l
4.800, 18.48, 4, 1 0 0
3.394, 26.26, 3, 1 1 0
2.771, 32.30, 100, 1 1 4
2.400, 37.47, 50, 2 0 0
2.147, 42.09, 2, 2 1 0
1.697, 54.03, 35, 2 2 0
1.447, 64.37, 41, 3 1 4
1.386, 67.60, 12, 2 2 8

[11]
Computed XRD peak list of NdHfTe3 for Cu Kα (λ = 1.5418 Å), from a structure optimized by DFT (GGA-PBE).
Lines closer than 0.1° are merged.

Structural model:
Cell lengths 9.117, 4.155, 15.352 Å; angles 90.00, 90.00, 90.00 degrees
Space group Pnma (No. 62)
Inequivalent atoms, fractional coordinates:
Nd 0.089 0.250 0.167 [4 per cell]
Hf 0.136 0.750 0.458 [4 per cell]
Te 0.033 0.750 0.630 [4 per cell]
Te 0.153 0.750 0.006 [4 per cell]
Te 0.199 0.250 0.795 [4 per cell]

Peak list (8 most intense, 2θ = 10–80°, in order of rising 2θ)
d [Å], two_theta, intensity, h k l
3.671, 24.24, 16, 1 1 1
3.041, 29.37, 29, 1 1 3
3.011, 29.67, 44, 2 1 1
2.936, 30.45, 20, 2 0 4
2.851, 31.37, 100, 2 1 2
2.468, 36.40, 56, 0 1 5
2.383, 37.75, 17, 3 0 4
2.078, 43.55, 36, 0 2 0

[12]
Computed XRD peak list of TiBeP for Cu Kα (λ = 1.5418 Å), from a structure optimized by DFT (GGA-PBE).
Lines closer than 0.1° are merged.

Structural model:
Cell lengths 3.3537, 3.3537, 12.6959 Å; angles 90.00, 90.00, 120.00 degrees
Space group R3m (No. 160, hexagonal axes)
Inequivalent atoms, fractional coordinates:
Ti 0.0000 0.0000 0.0000 [3 per cell]
Be 0.0000 0.0000 0.8011 [3 per cell]
P 0.0000 0.0000 0.2046 [3 per cell]

Peak list (8 most intense, 2θ = 10–80°, in order of rising 2θ)
d [Å], two_theta, intensity, h k l
4.232, 20.99, 15, 0 0 3
2.831, 31.60, 100, 1 0 1
2.143, 42.17, 46, 1 0 4
2.116, 42.73, 12, 0 0 6
1.912, 47.57, 52, 0 1 5
1.677, 54.74, 33, 1 1 0
1.314, 71.83, 14, 1 1 6
1.261, 75.40, 12, 2 0 5

[13]
Computed XRD peak list of Li3Ag2Pd3 for Cu Kα (λ = 1.5418 Å), from a structure optimized by DFT (GGA-PBE).
Lines closer than 0.1° are merged.

Structural model:
Cell lengths 4.232, 4.514, 12.868 Å; angles 90.00, 90.00, 90.00 degrees
Space group Immm (No. 71)
Inequivalent atoms, fractional coordinates:
Li 0.000 0.000 0.000 [2 per cell]
Li 0.000 0.500 0.122 [4 per cell]
Ag 0.000 0.000 0.256 [4 per cell]
Pd 0.000 0.000 0.500 [2 per cell]
Pd 0.000 0.500 0.386 [4 per cell]

Peak list (8 most intense, 2θ = 10–80°, in order of rising 2θ)
d [Å], two_theta, intensity, h k l
4.020, 22.11, 58, 1 0 1
2.257, 39.95, 27, 0 2 0
2.236, 40.34, 18, 0 1 5
2.227, 40.50, 100, 1 1 4
2.116, 42.73, 22, 2 0 0
1.968, 46.13, 16, 1 2 1
1.544, 59.92, 16, 2 2 0
1.297, 72.92, 17, 1 3 4